Structure and calculated PXRD pattern of Tb3Ni2Ge4 (DFT lattice parameters and positions (PBE); Cu Kα (λ = 1.5418 Å)).

Most intense lines, 10 to 80 degrees two-theta, in order of rising 2θ:
2θ/deg  I/Imax
24.84  15
25.10  7
33.49  100
33.62  26
33.75  24
43.58  21
44.06  39
45.09  19
56.19  23
64.50  13
64.75  12
64.99  12

Atomic structure:
```
Tb3Ni2Ge4
1.0
5.373 -2.077 0.000
5.373 2.077 0.000
-1.685 0.000 7.966
Tb Ni Ge
3 2 4
direct
0.000 0.000 0.000
0.338 0.338 0.340
0.662 0.662 0.660
0.394 0.394 0.718
0.606 0.606 0.282
0.061 0.061 0.381
0.281 0.281 0.929
0.719 0.719 0.071
0.939 0.939 0.619
```

***

Structure and calculated PXRD pattern of AcNd2YEr5 (DFT lattice parameters and positions (PBE); Cu Kα (λ = 1.5418 Å)).

Most intense lines, 10 to 80 degrees two-theta, in order of rising 2θ:
2θ/deg  I/Imax
28.41  44
28.54  50
30.67  100
32.00  23
36.82  14
37.10  16
42.53  20
45.80  11
46.87  13
51.89  23
55.79  14
58.27  12

Atomic structure:
```
AcNd2YEr5
1.0
-4.423 4.423 7.754
4.423 -4.423 7.754
4.423 4.423 -7.754
Ac Nd Y Er
2 4 2 10
direct
0.250 0.250 0.000
0.750 0.750 0.000
0.116 0.616 0.733
0.384 0.116 0.500
0.616 0.884 0.500
0.884 0.384 0.267
0.250 0.750 0.500
0.750 0.250 0.500
0.000 0.000 0.000
0.075 0.160 0.500
0.160 0.660 0.085
0.340 0.425 0.500
0.425 0.925 0.085
0.500 0.500 0.000
0.575 0.075 0.915
0.660 0.575 0.500
0.840 0.340 0.915
0.925 0.840 0.500
```

***

Structure and calculated PXRD pattern of Hg2Pd3S4 (DFT lattice parameters and positions (PBE); Cu Kα (λ = 1.5418 Å)).

Most intense lines, 10 to 80 degrees two-theta, in order of rising 2θ:
2θ/deg  I/Imax
12.84  76
17.29  27
25.19  100
32.41  52
32.98  21
34.99  22
36.38  69
38.50  34
40.92  24
46.95  21
55.88  22
69.17  18

Atomic structure:
```
Hg2Pd3S4
1.0
0.000 4.411 6.895
3.543 0.000 6.895
3.543 4.411 0.000
Hg Pd S
2 3 4
direct
0.125 0.125 0.875
0.875 0.875 0.125
0.000 0.000 0.500
0.500 0.500 0.000
0.500 0.500 0.500
0.168 0.600 0.400
0.400 0.832 0.168
0.600 0.168 0.832
0.832 0.400 0.600
```

***

Structure and calculated PXRD pattern of La10Nd4Ho (DFT lattice parameters and positions (PBE); Cu Kα (λ = 1.5418 Å)).

Most intense lines, 10 to 80 degrees two-theta, in order of rising 2θ:
2θ/deg  I/Imax
26.93  82
27.86  100
27.97  84
32.35  59
32.84  83
33.14  33
38.62  22
39.97  23
41.29  27
43.67  33
45.20  21
57.81  22

Atomic structure:
```
La10Nd4Ho
1.0
-5.043 5.043 5.257
5.043 -5.043 5.257
5.043 5.043 -5.257
La Nd Ho
10 4 1
direct
0.040 0.955 0.314
0.045 0.359 0.085
0.250 0.750 0.500
0.274 0.960 0.915
0.359 0.274 0.314
0.641 0.726 0.686
0.726 0.040 0.085
0.750 0.250 0.500
0.955 0.641 0.915
0.960 0.045 0.686
0.176 0.449 0.625
0.449 0.824 0.274
0.551 0.176 0.726
0.824 0.551 0.375
0.500 0.500 0.000
```

***

Copy entry 3 word for word.
Structure and calculated PXRD pattern of Hg2Pd3S4 (DFT lattice parameters and positions (PBE); Cu Kα (λ = 1.5418 Å)).

Most intense lines, 10 to 80 degrees two-theta, in order of rising 2θ:
2θ/deg  I/Imax
12.84  76
17.29  27
25.19  100
32.41  52
32.98  21
34.99  22
36.38  69
38.50  34
40.92  24
46.95  21
55.88  22
69.17  18

Atomic structure:
```
Hg2Pd3S4
1.0
0.000 4.411 6.895
3.543 0.000 6.895
3.543 4.411 0.000
Hg Pd S
2 3 4
direct
0.125 0.125 0.875
0.875 0.875 0.125
0.000 0.000 0.500
0.500 0.500 0.000
0.500 0.500 0.500
0.168 0.600 0.400
0.400 0.832 0.168
0.600 0.168 0.832
0.832 0.400 0.600
```

***

Repeat the third record exactly.
Structure and calculated PXRD pattern of Hg2Pd3S4 (DFT lattice parameters and positions (PBE); Cu Kα (λ = 1.5418 Å)).

Most intense lines, 10 to 80 degrees two-theta, in order of rising 2θ:
2θ/deg  I/Imax
12.84  76
17.29  27
25.19  100
32.41  52
32.98  21
34.99  22
36.38  69
38.50  34
40.92  24
46.95  21
55.88  22
69.17  18

Atomic structure:
```
Hg2Pd3S4
1.0
0.000 4.411 6.895
3.543 0.000 6.895
3.543 4.411 0.000
Hg Pd S
2 3 4
direct
0.125 0.125 0.875
0.875 0.875 0.125
0.000 0.000 0.500
0.500 0.500 0.000
0.500 0.500 0.500
0.168 0.600 0.400
0.400 0.832 0.168
0.600 0.168 0.832
0.832 0.400 0.600
```